Record 1
Pr2MnC4: simulated powder diffraction line list (Cu Kα), based on a cell relaxed with GGA-PBE.
Peak positions follow from Bragg's law for the DFT cell and can differ from measured ones.

Crystal structure
a = 7.6801 Å, b = 10.2753 Å, c = 5.2533 Å
α = 90.00°, β = 90.00°, γ = 90.00°
Space group Ibam (No. 72)
Symmetry-distinct sites (fractional):
1 Pr 0.1615 0.1447 0.0000 [8 per cell]
2 Mn 0.0000 0.5000 0.2500 [4 per cell]
3 C 0.1644 0.4223 0.0000 [8 per cell]
4 C 0.1679 0.1228 0.5000 [8 per cell]

The 12 most intense peaks (2θ = 10–90°), low angle first:
- 26.91 deg, d 3.314, I = 100, (1 2 1)
- 28.53 deg, d 3.128, I = 46, (1 3 0)
- 30.11 deg, d 2.968, I = 75, (2 1 1)
- 34.14 deg, d 2.627, I = 26, (0 0 2)
- 34.93 deg, d 2.569, I = 16, (0 4 0)
- 36.16 deg, d 2.484, I = 31, (3 1 0)
- 37.22 deg, d 2.416, I = 23, (1 1 2)
- 41.66 deg, d 2.168, I = 16, (2 0 2)
- 44.17 deg, d 2.051, I = 16, (3 3 0)
- 49.64 deg, d 1.837, I = 26, (0 4 2)
- 53.50 deg, d 1.713, I = 26, (2 5 1)
- 56.97 deg, d 1.616, I = 34, (3 3 2)

Record 2
Np2USe6: simulated powder diffraction line list (Cu Kα), based on a cell relaxed with GGA-PBE.
Peak positions follow from Bragg's law for the DFT cell and can differ from measured ones.

Crystal structure
a = 6.5774 Å, b = 6.5774 Å, c = 12.8956 Å
α = 90.00°, β = 90.00°, γ = 90.00°
Space group P4_2/mnm (No. 136)
Symmetry-distinct sites (fractional):
1 Np 0.0000 0.0000 0.1664 [4 per cell]
2 U 0.0000 0.0000 0.5000 [2 per cell]
3 Se 0.1934 0.1934 0.3359 [8 per cell]
4 Se 0.1981 0.1981 0.0000 [4 per cell]

The 12 most intense peaks (2θ = 10–90°), low angle first:
- 19.08 deg, d 4.651, I = 100, (1 1 0)
- 24.74 deg, d 3.598, I = 54, (1 0 3)
- 28.27 deg, d 3.157, I = 26, (1 1 3)
- 37.03 deg, d 2.428, I = 93, (2 1 3)
- 38.72 deg, d 2.325, I = 29, (2 2 0)
- 42.04 deg, d 2.149, I = 17, (0 0 6)
- 43.51 deg, d 2.080, I = 14, (3 1 0)
- 46.51 deg, d 1.952, I = 65, (3 0 3)
- 58.47 deg, d 1.578, I = 18, (2 2 6)
- 62.07 deg, d 1.495, I = 24, (4 1 3)
- 75.61 deg, d 1.258, I = 21, (3 3 6)
- 82.02 deg, d 1.175, I = 16, (5 2 3)

Record 3
Ba2Mg6CdIn: simulated powder diffraction line list (Cu Kα), based on a cell relaxed with GGA-PBE.
Peak positions follow from Bragg's law for the DFT cell and can differ from measured ones.

Crystal structure
a = 8.0809 Å, b = 10.3001 Å, c = 7.7632 Å
α = 90.00°, β = 90.00°, γ = 90.00°
Space group Pmmn (No. 59, origin choice 2)
Symmetry-distinct sites (fractional):
1 Ba 0.2500 0.0172 0.2241 [4 per cell]
2 Mg 0.0573 0.2500 0.8820 [4 per cell]
3 Mg 0.0733 0.7500 0.5478 [4 per cell]
4 Mg 0.2500 0.5030 0.7193 [4 per cell]
5 Cd 0.2500 0.2500 0.5624 [2 per cell]
6 In 0.2500 0.7500 0.9126 [2 per cell]

The 12 most intense peaks (2θ = 10–90°), low angle first:
- 18.03 deg, d 4.919, I = 48, (1 1 1)
- 22.00 deg, d 4.040, I = 62, (2 0 0)
- 23.47 deg, d 3.790, I = 100, (1 2 1)
- 28.80 deg, d 3.100, I = 63, (0 2 2)
- 30.54 deg, d 2.927, I = 16, (1 3 1)
- 33.17 deg, d 2.701, I = 24, (2 1 2)
- 34.84 deg, d 2.575, I = 34, (0 4 0)
- 36.42 deg, d 2.467, I = 54, (1 0 3)
- 36.54 deg, d 2.459, I = 47, (2 2 2)
- 39.50 deg, d 2.281, I = 16, (3 2 1)
- 41.60 deg, d 2.171, I = 31, (2 4 0)
- 51.32 deg, d 1.780, I = 20, (1 4 3)

Record 4
CsKAgF3: simulated powder diffraction line list (Cu Kα), based on a cell relaxed with GGA-PBE.
Peak positions follow from Bragg's law for the DFT cell and can differ from measured ones.

Crystal structure
a = 7.0460 Å, b = 7.0460 Å, c = 7.3276 Å
α = 90.00°, β = 90.00°, γ = 120.00°
Space group P6_3/mmc (No. 194)
Symmetry-distinct sites (fractional):
1 Cs 0.3333 0.6667 0.2500 [2 per cell]
2 K 0.0000 0.0000 0.0000 [2 per cell]
3 Ag 0.3333 0.6667 0.7500 [2 per cell]
4 F 0.1543 0.3085 0.7500 [6 per cell]

The 12 most intense peaks (2θ = 10–90°), low angle first:
- 14.52 deg, d 6.102, I = 20, (1 0 0)
- 24.29 deg, d 3.664, I = 36, (0 0 2)
- 25.28 deg, d 3.523, I = 100, (1 1 0)
- 28.41 deg, d 3.141, I = 46, (1 0 2)
- 35.35 deg, d 2.539, I = 39, (1 1 2)
- 38.39 deg, d 2.345, I = 34, (2 0 2)
- 44.55 deg, d 2.034, I = 21, (3 0 0)
- 46.53 deg, d 1.952, I = 28, (2 1 2)
- 51.38 deg, d 1.778, I = 13, (3 0 2)
- 51.91 deg, d 1.761, I = 21, (2 2 0)
- 56.63 deg, d 1.625, I = 20, (1 1 4)
- 58.10 deg, d 1.588, I = 17, (2 2 2)

Record 5
HSeS: simulated powder diffraction line list (Cu Kα), based on a cell relaxed with GGA-PBE.
Peak positions follow from Bragg's law for the DFT cell and can differ from measured ones.

Crystal structure
a = 12.6547 Å, b = 16.0161 Å, c = 10.9091 Å
α = 90.00°, β = 90.00°, γ = 90.00°
Space group C222_1 (No. 20)
Symmetry-distinct sites (fractional):
1 H 0.0578 0.0810 0.4358 [8 per cell]
2 H 0.0770 0.1950 0.5383 [8 per cell]
3 H 0.1186 0.1813 0.9239 [8 per cell]
4 Se 0.0000 0.0820 0.7500 [4 per cell]
5 Se 0.0000 0.4033 0.7500 [4 per cell]
6 Se 0.1223 0.2698 0.9679 [8 per cell]
7 Se 0.1256 0.1099 0.5456 [8 per cell]
8 S 0.0000 0.0537 0.2500 [4 per cell]
9 S 0.0000 0.3356 0.2500 [4 per cell]
10 S 0.0810 0.2205 0.2314 [8 per cell]
11 S 0.1395 0.3225 0.7755 [8 per cell]

The 12 most intense peaks (2θ = 10–90°), low angle first:
- 11.05 deg, d 8.008, I = 55, (0 2 0)
- 12.05 deg, d 7.343, I = 100, (1 1 1)
- 14.00 deg, d 6.327, I = 90, (2 0 0)
- 19.65 deg, d 4.518, I = 97, (2 2 1)
- 19.80 deg, d 4.484, I = 89, (1 3 1)
- 21.51 deg, d 4.131, I = 56, (2 0 2)
- 27.60 deg, d 3.231, I = 82, (2 4 1)
- 28.18 deg, d 3.166, I = 33, (4 0 0)
- 30.40 deg, d 2.940, I = 37, (4 2 0)
- 32.72 deg, d 2.737, I = 55, (4 0 2)
- 32.84 deg, d 2.727, I = 41, (0 0 4)
- 47.60 deg, d 1.910, I = 37, (4 6 2)

Record 6
SmPu2ScSe4: simulated powder diffraction line list (Cu Kα), based on a cell relaxed with GGA-PBE.
Peak positions follow from Bragg's law for the DFT cell and can differ from measured ones.

Crystal structure
a = 7.0250 Å, b = 4.0803 Å, c = 7.1517 Å
α = 90.00°, β = 109.45°, γ = 90.00°
Space group P2/m (No. 10)
Symmetry-distinct sites (fractional):
1 Sm 0.0000 0.0000 0.0000 [1 per cell]
2 Pu 0.5000 0.0000 0.5000 [1 per cell]
3 Pu 0.5000 0.5000 0.0000 [1 per cell]
4 Sc 0.0000 0.5000 0.5000 [1 per cell]
5 Se 0.2379 0.0000 0.7365 [2 per cell]
6 Se 0.2455 0.5000 0.2596 [2 per cell]

The 12 most intense peaks (2θ = 10–90°), low angle first:
- 13.37 deg, d 6.624, I = 15, (1 0 0)
- 25.52 deg, d 3.491, I = 8, (0 1 1)
- 26.73 deg, d 3.335, I = 12, (1 1 -1)
- 30.93 deg, d 2.891, I = 100, (1 1 1)
- 43.99 deg, d 2.058, I = 25, (1 1 -3)
- 44.26 deg, d 2.047, I = 12, (2 0 2)
- 44.40 deg, d 2.040, I = 12, (0 2 0)
- 44.62 deg, d 2.031, I = 24, (3 1 -1)
- 55.08 deg, d 1.667, I = 13, (2 2 -2)
- 64.47 deg, d 1.445, I = 12, (2 2 2)
- 72.74 deg, d 1.300, I = 11, (0 2 4)
- 73.65 deg, d 1.286, I = 11, (4 2 0)

Record 7
Er3TeAsSe: simulated powder diffraction line list (Cu Kα), based on a cell relaxed with GGA-PBE.
Peak positions follow from Bragg's law for the DFT cell and can differ from measured ones.

Crystal structure
a = 6.9276 Å, b = 14.4977 Å, c = 6.8640 Å
α = 90.00°, β = 108.10°, γ = 90.00°
Space group C2/c (No. 15)
Symmetry-distinct sites (fractional):
1 Er 0.0000 0.2494 0.2500 [4 per cell]
2 Er 0.2415 0.0729 0.9980 [8 per cell]
3 Te 0.0000 0.2513 0.7500 [4 per cell]
4 As 0.0000 0.0625 0.2500 [4 per cell]
5 Se 0.0000 0.4408 0.2500 [4 per cell]

The 12 most intense peaks (2θ = 10–90°), low angle first:
- 22.81 deg, d 3.899, I = 47, (1 1 1)
- 24.36 deg, d 3.654, I = 32, (1 3 -1)
- 28.77 deg, d 3.103, I = 80, (1 3 1)
- 29.80 deg, d 2.998, I = 57, (2 2 0)
- 30.04 deg, d 2.975, I = 56, (0 2 2)
- 32.07 deg, d 2.791, I = 100, (2 0 -2)
- 36.88 deg, d 2.437, I = 33, (2 4 0)
- 37.08 deg, d 2.425, I = 33, (0 4 2)
- 37.21 deg, d 2.416, I = 54, (0 6 0)
- 38.18 deg, d 2.357, I = 40, (1 5 1)
- 44.77 deg, d 2.024, I = 40, (2 0 2)
- 49.92 deg, d 1.827, I = 47, (2 6 -2)

Record 8
AlH6W: simulated powder diffraction line list (Cu Kα), based on a cell relaxed with GGA-PBE.
Peak positions follow from Bragg's law for the DFT cell and can differ from measured ones.

Crystal structure
a = 6.3772 Å, b = 7.1181 Å, c = 6.0342 Å
α = 90.00°, β = 120.55°, γ = 90.00°
Space group C2/c (No. 15)
Symmetry-distinct sites (fractional):
1 Al 0.0000 0.1779 0.2500 [4 per cell]
2 H 0.0112 0.2463 0.9829 [8 per cell]
3 H 0.1714 0.4244 0.8428 [8 per cell]
4 H 0.1732 0.0332 0.8185 [8 per cell]
5 W 0.0000 0.5000 0.0000 [4 per cell]

The 12 most intense peaks (2θ = 10–90°), low angle first:
- 20.42 deg, d 4.348, I = 100, (1 1 0)
- 25.02 deg, d 3.559, I = 30, (0 2 0)
- 32.25 deg, d 2.776, I = 43, (1 1 -2)
- 32.61 deg, d 2.746, I = 24, (2 0 0)
- 33.32 deg, d 2.689, I = 12, (2 0 -2)
- 34.52 deg, d 2.598, I = 11, (0 0 2)
- 41.49 deg, d 2.177, I = 39, (1 3 0)
- 42.11 deg, d 2.146, I = 21, (2 2 -2)
- 43.11 deg, d 2.099, I = 19, (0 2 2)
- 45.59 deg, d 1.990, I = 16, (3 1 -2)
- 47.44 deg, d 1.916, I = 15, (1 1 2)
- 66.25 deg, d 1.411, I = 10, (2 2 2)